No. 1
For RbTi3NbO9, a structure optimized by DFT (GGA-PBE) gives the calculated powder diffraction line list in this record (λ = 1.5418 Å (Cu Kα)).

Peak list (8 most intense, 10 to 80 degrees two-theta, low angle first)
hkl 0 1 3, 2θ = 22.35°, intensity 50
hkl 1 1 0, 2θ = 26.97°, intensity 31
hkl 0 2 0, 2θ = 27.71°, intensity 83
hkl 1 0 3, 2θ = 29.14°, intensity 94
hkl 1 1 2, 2θ = 29.48°, intensity 100
hkl 0 1 5, 2θ = 32.62°, intensity 85
hkl 2 0 0, 2θ = 47.19°, intensity 43
hkl 1 1 8, 2θ = 55.89°, intensity 39

Cell and atoms:
Unit cell a=3.852 b=6.438 c=15.174 alpha=90.00 beta=90.00 gamma=90.00
Space group Pmn2_1 (No. 31)
Unique sites:
Rb: 0.000 0.212 0.000 [2 per cell]
Ti: 0.000 0.247 0.374 [2 per cell]
Ti: 0.000 0.694 0.295 [2 per cell]
Ti: 0.000 0.697 0.716 [2 per cell]
Nb: 0.000 0.246 0.620 [2 per cell]
O: 0.000 0.176 0.499 [2 per cell]
O: 0.000 0.347 0.243 [2 per cell]
O: 0.000 0.348 0.762 [2 per cell]
O: 0.000 0.539 0.397 [2 per cell]
O: 0.000 0.546 0.607 [2 per cell]
O: 0.000 0.753 0.849 [2 per cell]
O: 0.000 0.756 0.152 [2 per cell]
O: 0.000 0.946 0.340 [2 per cell]
O: 0.000 0.946 0.665 [2 per cell]

No. 2
For H8PtO6, a structure optimized by DFT (GGA-PBE) gives the calculated powder diffraction line list in this record (λ = 1.5418 Å (Cu Kα)).

Peak list (8 most intense, 10 to 80 degrees two-theta, low angle first)
hkl 1 0 1, 2θ = 19.42°, intensity 100
hkl 0 1 1, 2θ = 19.74°, intensity 95
hkl 0 1 -1, 2θ = 20.10°, intensity 94
hkl 1 0 -1, 2θ = 20.69°, intensity 86
hkl 1 1 0, 2θ = 20.89°, intensity 89
hkl 0 0 2, 2θ = 24.09°, intensity 74
hkl 1 -1 0, 2θ = 24.24°, intensity 66
hkl 0 1 3, 2θ = 39.74°, intensity 39

Cell and atoms:
Unit cell a=5.599 b=5.653 c=7.406 alpha=88.37 beta=86.07 gamma=81.54
Space group P1 (No. 1)
Unique sites:
H: 0.000 0.000 0.000 [1 per cell]
H: 0.006 0.000 0.506 [1 per cell]
H: 0.060 0.373 0.678 [1 per cell]
H: 0.171 0.301 0.423 [1 per cell]
H: 0.267 0.678 0.256 [1 per cell]
H: 0.284 0.153 0.113 [1 per cell]
H: 0.396 0.691 0.734 [1 per cell]
H: 0.411 0.145 0.859 [1 per cell]
H: 0.488 0.597 0.985 [1 per cell]
H: 0.518 0.561 0.530 [1 per cell]
H: 0.631 0.930 0.181 [1 per cell]
H: 0.670 0.362 0.308 [1 per cell]
H: 0.693 0.000 0.850 [1 per cell]
H: 0.719 0.303 0.017 [1 per cell]
H: 0.945 0.653 0.669 [1 per cell]
H: 0.966 0.759 0.387 [1 per cell]
Pt: 0.042 0.555 0.007 [1 per cell]
Pt: 0.536 0.030 0.511 [1 per cell]
O: 0.122 0.595 0.266 [1 per cell]
O: 0.186 0.186 0.527 [1 per cell]
O: 0.202 0.207 0.000 [1 per cell]
O: 0.348 0.683 0.920 [1 per cell]
O: 0.416 0.713 0.588 [1 per cell]
O: 0.475 0.956 0.257 [1 per cell]
O: 0.573 0.115 0.778 [1 per cell]
O: 0.652 0.341 0.443 [1 per cell]
O: 0.720 0.444 0.090 [1 per cell]
O: 0.868 0.897 0.000 [1 per cell]
O: 0.894 0.869 0.500 [1 per cell]
O: 0.953 0.506 0.748 [1 per cell]

No. 3
For Sr3Li4La5O12, a structure optimized by DFT (GGA-PBE) gives the calculated powder diffraction line list in this record (λ = 1.5418 Å (Cu Kα)).

Peak list (8 most intense, 10 to 80 degrees two-theta, low angle first)
hkl 0 0 4, 2θ = 26.18°, intensity 19
hkl 2 0 -2, 2θ = 28.71°, intensity 100
hkl 1 0 -4, 2θ = 29.19°, intensity 33
hkl 0 1 3, 2θ = 31.78°, intensity 41
hkl 2 1 -1, 2θ = 36.48°, intensity 20
hkl 2 1 -5, 2θ = 49.45°, intensity 22
hkl 0 2 0, 2θ = 50.87°, intensity 31
hkl 3 0 6, 2θ = 56.64°, intensity 15

Cell and atoms:
Unit cell a=6.987 b=3.591 c=13.614 alpha=90.00 beta=90.06 gamma=90.00
Space group Pm (No. 6)
Unique sites:
Sr: 0.000 0.000 0.000 [1 per cell]
Sr: 0.177 0.500 0.441 [1 per cell]
Sr: 0.501 0.000 0.938 [1 per cell]
Li: 0.212 0.500 0.855 [1 per cell]
Li: 0.464 0.000 0.352 [1 per cell]
Li: 0.712 0.500 0.086 [1 per cell]
Li: 0.971 0.000 0.590 [1 per cell]
La: 0.331 0.500 0.177 [1 per cell]
La: 0.349 0.000 0.678 [1 per cell]
La: 0.674 0.500 0.504 [1 per cell]
La: 0.830 0.500 0.764 [1 per cell]
La: 0.846 0.000 0.262 [1 per cell]
O: 0.075 0.000 0.817 [1 per cell]
O: 0.090 0.500 0.621 [1 per cell]
O: 0.218 0.000 0.285 [1 per cell]
O: 0.269 0.500 0.002 [1 per cell]
O: 0.420 0.000 0.493 [1 per cell]
O: 0.457 0.500 0.789 [1 per cell]
O: 0.578 0.000 0.128 [1 per cell]
O: 0.599 0.500 0.324 [1 per cell]
O: 0.722 0.000 0.650 [1 per cell]
O: 0.769 0.500 0.944 [1 per cell]
O: 0.901 0.000 0.444 [1 per cell]
O: 0.955 0.500 0.158 [1 per cell]

No. 4
For Na3CaB5O10, a structure optimized by DFT (GGA-PBE) gives the calculated powder diffraction line list in this record (λ = 1.5418 Å (Cu Kα)).

Peak list (8 most intense, 10 to 80 degrees two-theta, low angle first)
hkl 1 0 -1, 2θ = 19.56°, intensity 21
hkl 1 0 -2, 2θ = 27.42°, intensity 25
hkl 1 -1 2, 2θ = 27.76°, intensity 57
hkl 2 2 0, 2θ = 28.73°, intensity 100
hkl 2 2 -1, 2θ = 32.92°, intensity 44
hkl -1 1 2, 2θ = 33.92°, intensity 44
hkl 3 0 3, 2θ = 44.62°, intensity 25
hkl 2 1 5, 2θ = 47.05°, intensity 21

Cell and atoms:
Unit cell a=7.506 b=7.528 c=9.839 alpha=81.31 beta=70.08 gamma=60.22
Space group P-1 (No. 2)
Unique sites:
Na: 0.195 0.478 0.325 [2 per cell]
Na: 0.232 0.278 0.953 [2 per cell]
Na: 0.264 0.962 0.250 [2 per cell]
Ca: 0.252 0.026 0.620 [2 per cell]
B: 0.115 0.685 0.581 [2 per cell]
B: 0.128 0.742 0.054 [2 per cell]
B: 0.267 0.644 0.788 [2 per cell]
B: 0.387 0.341 0.632 [2 per cell]
B: 0.441 0.785 0.894 [2 per cell]
O: 0.015 0.243 0.815 [2 per cell]
O: 0.017 0.208 0.498 [2 per cell]
O: 0.127 0.658 0.937 [2 per cell]
O: 0.131 0.769 0.691 [2 per cell]
O: 0.241 0.471 0.556 [2 per cell]
O: 0.285 0.805 0.031 [2 per cell]
O: 0.391 0.186 0.127 [2 per cell]
O: 0.400 0.425 0.742 [2 per cell]
O: 0.410 0.732 0.775 [2 per cell]
O: 0.497 0.860 0.400 [2 per cell]

No. 5
For LiCu2P3O10, a structure optimized by DFT (GGA-PBE) gives the calculated powder diffraction line list in this record (λ = 1.5418 Å (Cu Kα)).

Peak list (8 most intense, 10 to 80 degrees two-theta, low angle first)
hkl 1 0 -2, 2θ = 24.28°, intensity 43
hkl 1 1 1, 2θ = 26.00°, intensity 24
hkl 1 2 0, 2θ = 29.00°, intensity 100
hkl 1 0 -3, 2θ = 31.50°, intensity 60
hkl 1 1 2, 2θ = 32.57°, intensity 31
hkl 0 2 3, 2θ = 36.67°, intensity 20
hkl 1 3 2, 2θ = 45.10°, intensity 23
hkl 2 3 2, 2θ = 59.37°, intensity 21

Cell and atoms:
Unit cell a=4.698 b=8.327 c=9.335 alpha=90.00 beta=103.07 gamma=90.00
Space group P2_1/m (No. 11)
Unique sites:
Li: 0.000 0.000 0.000 [2 per cell]
Cu: 0.041 0.064 0.332 [4 per cell]
P: 0.337 0.250 0.822 [2 per cell]
P: 0.406 0.750 0.454 [2 per cell]
P: 0.474 0.250 0.139 [2 per cell]
O: 0.162 0.096 0.812 [4 per cell]
O: 0.216 0.750 0.755 [2 per cell]
O: 0.239 0.597 0.471 [4 per cell]
O: 0.287 0.250 0.441 [2 per cell]
O: 0.307 0.097 0.148 [4 per cell]
O: 0.430 0.750 0.023 [2 per cell]
O: 0.449 0.750 0.287 [2 per cell]

No. 6
For Lu2MgHg, a structure optimized by DFT (GGA-PBE) gives the calculated powder diffraction line list in this record (λ = 1.5418 Å (Cu Kα)).

Peak list (8 most intense, 10 to 80 degrees two-theta, low angle first)
hkl 1 1 1, 2θ = 20.93°, intensity 21
hkl 2 0 0, 2θ = 24.22°, intensity 5
hkl 2 2 0, 2θ = 34.52°, intensity 100
hkl 3 1 1, 2θ = 40.72°, intensity 12
hkl 4 0 0, 2θ = 49.61°, intensity 18
hkl 3 3 1, 2θ = 54.41°, intensity 5
hkl 4 2 2, 2θ = 61.84°, intensity 38
hkl 4 4 0, 2θ = 72.79°, intensity 12

Cell and atoms:
Unit cell a=7.350 b=7.350 c=7.350 alpha=90.00 beta=90.00 gamma=90.00
Space group Fm-3m (No. 225)
Unique sites:
Lu: 0.250 0.250 0.250 [8 per cell]
Mg: 0.000 0.000 0.000 [4 per cell]
Hg: 0.000 0.000 0.500 [4 per cell]

No. 7
For La2In3Sn3, a structure optimized by DFT (GGA-PBE) gives the calculated powder diffraction line list in this record (λ = 1.5418 Å (Cu Kα)).

Peak list (5 most intense, 10 to 80 degrees two-theta, low angle first)
hkl 1 1 2, 2θ = 32.34°, intensity 100
hkl 2 0 0, 2θ = 37.51°, intensity 50
hkl 2 2 0, 2θ = 54.09°, intensity 35
hkl 3 1 2, 2θ = 64.45°, intensity 41
hkl 2 2 4, 2θ = 67.69°, intensity 12

Cell and atoms:
Unit cell a=4.795 b=4.797 c=9.587 alpha=90.00 beta=90.00 gamma=90.00
Space group Pmmm (No. 47)
Unique sites:
La: 0.000 0.000 0.246 [2 per cell]
In: 0.500 0.000 0.500 [1 per cell]
In: 0.500 0.500 0.251 [2 per cell]
Sn: 0.000 0.500 0.000 [1 per cell]
Sn: 0.000 0.500 0.500 [1 per cell]
Sn: 0.500 0.000 0.000 [1 per cell]

No. 8
For Ba2NF, a structure optimized by DFT (GGA-PBE) gives the calculated powder diffraction line list in this record (λ = 1.5418 Å (Cu Kα)).

Peak list (7 most intense, 10 to 80 degrees two-theta, low angle first)
hkl 2 0 0, 2θ = 25.78°, intensity 75
hkl 2 2 0, 2θ = 36.78°, intensity 100
hkl 2 2 2, 2θ = 45.46°, intensity 22
hkl 4 0 0, 2θ = 53.00°, intensity 17
hkl 4 2 0, 2θ = 59.85°, intensity 31
hkl 4 2 2, 2θ = 66.25°, intensity 34
hkl 4 4 0, 2θ = 78.24°, intensity 11

Cell and atoms:
Unit cell a=6.912 b=6.912 c=6.912 alpha=90.00 beta=90.00 gamma=90.00
Space group Fm-3m (No. 225)
Unique sites:
Ba: 0.250 0.250 0.250 [8 per cell]
N: 0.000 0.000 0.000 [4 per cell]
F: 0.000 0.000 0.500 [4 per cell]

Copy entry 4 word for word.
For Na3CaB5O10, a structure optimized by DFT (GGA-PBE) gives the calculated powder diffraction line list in this record (λ = 1.5418 Å (Cu Kα)).

Peak list (8 most intense, 10 to 80 degrees two-theta, low angle first)
hkl 1 0 -1, 2θ = 19.56°, intensity 21
hkl 1 0 -2, 2θ = 27.42°, intensity 25
hkl 1 -1 2, 2θ = 27.76°, intensity 57
hkl 2 2 0, 2θ = 28.73°, intensity 100
hkl 2 2 -1, 2θ = 32.92°, intensity 44
hkl -1 1 2, 2θ = 33.92°, intensity 44
hkl 3 0 3, 2θ = 44.62°, intensity 25
hkl 2 1 5, 2θ = 47.05°, intensity 21

Cell and atoms:
Unit cell a=7.506 b=7.528 c=9.839 alpha=81.31 beta=70.08 gamma=60.22
Space group P-1 (No. 2)
Unique sites:
Na: 0.195 0.478 0.325 [2 per cell]
Na: 0.232 0.278 0.953 [2 per cell]
Na: 0.264 0.962 0.250 [2 per cell]
Ca: 0.252 0.026 0.620 [2 per cell]
B: 0.115 0.685 0.581 [2 per cell]
B: 0.128 0.742 0.054 [2 per cell]
B: 0.267 0.644 0.788 [2 per cell]
B: 0.387 0.341 0.632 [2 per cell]
B: 0.441 0.785 0.894 [2 per cell]
O: 0.015 0.243 0.815 [2 per cell]
O: 0.017 0.208 0.498 [2 per cell]
O: 0.127 0.658 0.937 [2 per cell]
O: 0.131 0.769 0.691 [2 per cell]
O: 0.241 0.471 0.556 [2 per cell]
O: 0.285 0.805 0.031 [2 per cell]
O: 0.391 0.186 0.127 [2 per cell]
O: 0.400 0.425 0.742 [2 per cell]
O: 0.410 0.732 0.775 [2 per cell]
O: 0.497 0.860 0.400 [2 per cell]